1.
# Pr2ThC2Br2
Theoretical powder XRD pattern, Cu Kα (weighted mean of Kα1 and Kα2). Input: DFT lattice parameters and positions (GGA-PBE).

Structure:
```
data_Pr2ThC2Br2
_chemical_formula_sum 'Pr4 Th2 C4 Br4'
_cell_length_a 4.7617
_cell_length_b 4.7617
_cell_length_c 15.6944
_cell_angle_alpha 90.00
_cell_angle_beta 90.00
_cell_angle_gamma 90.00
_space_group_name_H-M_alt 'I 4/m m m'
_space_group_IT_number 139
_space_group_name_Hall '-I 4 2'
loop_
_atom_site_label
_atom_site_type_symbol
_atom_site_fract_x
_atom_site_fract_y
_atom_site_fract_z
_atom_site_occupancy
Pr1 Pr 0.0000 0.0000 0.0994 1
Th1 Th 0.0000 0.0000 0.5000 1
C1 C 0.0000 0.5000 0.0000 1
Br1 Br 0.0000 0.0000 0.3050 1
```

The 10 most intense peaks (2θ = 10–90°), sorted by position:
index	2theta	Rel. int.
0 0 2	11.28	33
1 1 0	26.47	91
1 0 5	34.22	100
2 0 0	37.79	41
2 1 5	51.89	62
2 2 0	54.51	14
3 1 0	61.59	18
1 1 10	65.63	14
3 0 5	65.95	15
3 2 5	78.59	18

2.
# GeH3CNO
Theoretical powder XRD pattern, Cu Kα (weighted mean of Kα1 and Kα2). Input: DFT lattice parameters and positions (GGA-PBE).

Structure:
```
data_GeH3CNO
_chemical_formula_sum 'Ge4 H12 C4 N4 O4'
_cell_length_a 8.1772
_cell_length_b 7.3788
_cell_length_c 7.2196
_cell_angle_alpha 90.00
_cell_angle_beta 90.00
_cell_angle_gamma 90.00
_space_group_name_H-M_alt 'P n m a'
_space_group_IT_number 62
loop_
_space_group_symop_operation_xyz
'x,y,z'
'-x,-y,-z'
'-x+1/2,-y,z+1/2'
'x+1/2,y,-z+1/2'
'x+1/2,-y+1/2,-z+1/2'
'-x+1/2,y+1/2,z+1/2'
'-x,y+1/2,-z'
'x,-y+1/2,z'
loop_
_atom_site_label
_atom_site_type_symbol
_atom_site_fract_x
_atom_site_fract_y
_atom_site_fract_z
_atom_site_occupancy
Ge1 Ge 0.2493 0.2500 0.1971 1
H1 H 0.1617 0.5762 0.6428 1
H2 H 0.1838 0.2500 0.3949 1
C1 C 0.0084 0.2500 0.8975 1
N1 N 0.0543 0.2500 0.0568 1
O1 O 0.0485 0.7500 0.2544 1
```

The 10 most intense peaks (2θ = 10–90°), sorted by position:
index	2theta	Rel. int.
0 1 1	17.18	56
1 1 1	20.35	24
0 2 0	24.12	64
0 0 2	24.66	17
1 0 2	27.00	17
2 1 1	27.84	100
0 2 2	34.77	13
1 1 3	40.96	17
2 2 2	41.38	13
2 3 1	44.80	25

3.
# Pr4OsRh
Theoretical powder XRD pattern, Cu Kα (weighted mean of Kα1 and Kα2). Input: DFT lattice parameters and positions (GGA-PBE).

Structure:
```
data_Pr4OsRh
_chemical_formula_sum 'Pr32 Os8 Rh8'
_cell_length_a 9.8412
_cell_length_b 10.1177
_cell_length_c 14.0872
_cell_angle_alpha 90.00
_cell_angle_beta 90.00
_cell_angle_gamma 90.00
_space_group_name_H-M_alt 'F d d d'
_space_group_IT_number 70
loop_
_space_group_symop_operation_xyz
'x,y,z'
'-x,-y,-z'
'-x+1/4,-y+1/4,z'
'x+1/4,y+1/4,-z'
'x,-y+1/4,-z+1/4'
'-x,y+1/4,z+1/4'
'-x+1/4,y,-z+1/4'
'x+1/4,-y,z+1/4'
'x,y+1/2,z+1/2'
'-x,-y+1/2,-z+1/2'
'-x+1/4,-y+3/4,z+1/2'
'x+1/4,y+3/4,-z+1/2'
'x,-y+3/4,-z+3/4'
'-x,y+3/4,z+3/4'
'-x+1/4,y+1/2,-z+3/4'
'x+1/4,-y+1/2,z+3/4'
'x+1/2,y,z+1/2'
'-x+1/2,-y,-z+1/2'
'-x+3/4,-y+1/4,z+1/2'
'x+3/4,y+1/4,-z+1/2'
'x+1/2,-y+1/4,-z+3/4'
'-x+1/2,y+1/4,z+3/4'
'-x+3/4,y,-z+3/4'
'x+3/4,-y,z+3/4'
'x+1/2,y+1/2,z'
'-x+1/2,-y+1/2,-z'
'-x+3/4,-y+3/4,z'
'x+3/4,y+3/4,-z'
'x+1/2,-y+3/4,-z+1/4'
'-x+1/2,y+3/4,z+1/4'
'-x+3/4,y+1/2,-z+1/4'
'x+3/4,-y+1/2,z+1/4'
loop_
_atom_site_label
_atom_site_type_symbol
_atom_site_fract_x
_atom_site_fract_y
_atom_site_fract_z
_atom_site_occupancy
Pr1 Pr 0.1226 0.3694 0.0004 1
Os1 Os 0.1250 0.1250 0.1250 1
Rh1 Rh 0.1250 0.1250 0.6250 1
```

The 10 most intense peaks (2θ = 10–90°), sorted by position:
index	2theta	Rel. int.
0 2 2	21.63	21
2 0 2	22.04	21
0 0 4	25.26	19
0 4 0	35.49	26
2 2 4	36.04	100
4 0 0	36.52	24
0 0 8	51.87	26
2 6 4	64.08	18
6 2 4	65.42	17
4 4 8	76.44	11

4.
# KTaCd
Theoretical powder XRD pattern, Cu Kα (weighted mean of Kα1 and Kα2). Input: DFT lattice parameters and positions (GGA-PBE).

Structure:
```
data_KTaCd
_chemical_formula_sum 'K2 Ta2 Cd2'
_cell_length_a 3.4623
_cell_length_b 3.5638
_cell_length_c 14.6160
_cell_angle_alpha 90.00
_cell_angle_beta 90.04
_cell_angle_gamma 90.00
_space_group_name_H-M_alt 'P 1 m 1'
_space_group_IT_number 6
loop_
_space_group_symop_operation_xyz
'x,y,z'
'x,-y,z'
loop_
_atom_site_label
_atom_site_type_symbol
_atom_site_fract_x
_atom_site_fract_y
_atom_site_fract_z
_atom_site_occupancy
K1 K 0.0000 0.0000 0.0000 1
K2 K 0.4985 0.5000 0.2876 1
Ta1 Ta 0.4972 0.5000 0.8007 1
Ta2 Ta 0.9968 0.0000 0.7187 1
Cd1 Cd 0.4961 0.5000 0.5952 1
Cd2 Cd 0.9961 0.0000 0.4716 1
```

The 10 most intense peaks (2θ = 10–90°), sorted by position:
index	2theta	Rel. int.
0 0 2	12.11	35
0 1 3	31.09	27
1 0 3	31.71	25
0 1 4	35.18	73
1 0 4	35.73	70
1 1 0	36.17	100
1 1 -1	36.71	63
0 1 5	39.89	33
1 0 -5	40.38	32
1 2 4	64.06	25